Entry 1:
Starting from a DFT-relaxed cell (PBE, OQMD), the powder XRD pattern of LaPr2GaCl3 was computed for CuKα.
Intensities are scaled so that the largest is 1000.

Crystal structure
abc: 5.8937 5.8937 5.9243
angles: 90.00 90.00 90.00
Space group P4/mmm (No. 123)
Inequivalent atoms, fractional coordinates:
La 0.0000 0.0000 0.0000
Pr 0.0000 0.5000 0.5000
Ga 0.0000 0.0000 0.5000
Cl 0.0000 0.5000 0.0000
Cl 0.5000 0.5000 0.5000

The 10 most intense peaks (2θ = 10–90°), in order of rising 2θ:
2θ 15.0, rel. 679, hkl 0 0 1
2θ 26.1, rel. 440, hkl 1 1 1
2θ 30.2, rel. 507, hkl 0 0 2
2θ 30.3, rel. 1000, hkl 2 0 0
2θ 34.0, rel. 262, hkl 2 0 1
2θ 43.3, rel. 733, hkl 2 0 2
2θ 43.4, rel. 364, hkl 2 2 0
2θ 53.8, rel. 381, hkl 2 2 2
2θ 71.6, rel. 318, hkl 4 2 0
2θ 79.6, rel. 237, hkl 4 2 2


Entry 2:
Starting from a DFT-relaxed cell (PBE, OQMD), the powder XRD pattern of Ba3H12Pd2 was computed for CuKα.
Intensities are scaled so that the largest is 1000.

Crystal structure
abc: 5.3841 5.3841 8.7999
angles: 90.00 90.00 120.00
Space group P-3m1 (No. 164)
Inequivalent atoms, fractional coordinates:
Ba 0.0000 0.0000 0.0000
Ba 0.3333 0.6667 0.6339
H 0.0389 0.5195 0.1201
H 0.1812 0.3624 0.3414
Pd 0.3333 0.6667 0.2320

The 10 most intense peaks (2θ = 10–90°), in order of rising 2θ:
2θ 21.6, rel. 587, hkl 0 1 1
2θ 27.9, rel. 1000, hkl 0 1 2
2θ 33.3, rel. 856, hkl 1 1 0
2θ 36.2, rel. 365, hkl 1 0 3
2θ 44.0, rel. 296, hkl 2 0 2
2θ 45.7, rel. 141, hkl 1 1 3
2θ 50.0, rel. 144, hkl 0 2 3
2θ 56.2, rel. 274, hkl 1 2 2
2θ 59.5, rel. 159, hkl 3 0 0
2θ 61.4, rel. 156, hkl 2 1 3


Entry 3:
Starting from a DFT-relaxed cell (PBE, OQMD), the powder XRD pattern of MgZnSn2N4 was computed for CuKα.
Intensities are scaled so that the largest is 1000.

Crystal structure
abc: 4.7981 4.7981 9.6259
angles: 90.00 90.00 90.00
Space group I-4 (No. 82)
Inequivalent atoms, fractional coordinates:
Mg 0.0000 0.0000 0.0000
Zn 0.0000 0.5000 0.2500
Sn 0.0000 0.0000 0.5000
Sn 0.0000 0.5000 0.7500
N 0.2488 0.2507 0.1253

The 10 most intense peaks (2θ = 10–90°), in order of rising 2θ:
2θ 20.7, rel. 283, hkl 1 0 1
2θ 32.3, rel. 1000, hkl 1 1 2
2θ 37.4, rel. 118, hkl 0 0 4
2θ 37.5, rel. 233, hkl 2 0 0
2θ 43.2, rel. 91, hkl 2 1 1
2θ 54.0, rel. 437, hkl 2 2 0
2θ 64.2, rel. 138, hkl 1 1 6
2θ 64.4, rel. 275, hkl 3 1 2
2θ 67.6, rel. 93, hkl 2 2 4
2θ 88.7, rel. 121, hkl 3 1 6


Entry 4:
Starting from a DFT-relaxed cell (PBE, OQMD), the powder XRD pattern of Sm2Sn2O7 was computed for CuKα.
Intensities are scaled so that the largest is 1000.

Crystal structure
abc: 10.5339 10.5339 10.5339
angles: 90.00 90.00 90.00
Space group Fd-3m (No. 227, origin choice 2)
Inequivalent atoms, fractional coordinates:
Sm 0.0000 0.0000 0.0000
Sn 0.0000 0.0000 0.5000
O 0.0864 0.3750 0.8750
O 0.1250 0.1250 0.1250

The 10 most intense peaks (2θ = 10–90°), in order of rising 2θ:
2θ 14.6, rel. 10, hkl 1 1 1
2θ 29.4, rel. 1000, hkl 2 2 2
2θ 34.0, rel. 334, hkl 4 0 0
2θ 37.2, rel. 23, hkl 3 3 1
2θ 48.9, rel. 485, hkl 4 4 0
2θ 58.1, rel. 448, hkl 6 2 2
2θ 60.9, rel. 104, hkl 4 4 4
2θ 71.7, rel. 73, hkl 8 0 0
2θ 79.3, rel. 187, hkl 6 6 2
2θ 81.8, rel. 151, hkl 8 4 0


Entry 5:
Starting from a DFT-relaxed cell (PBE, OQMD), the powder XRD pattern of Sr2NiOsN6 was computed for CuKα.
Intensities are scaled so that the largest is 1000.

Crystal structure
abc: 5.4962 5.5083 5.5098
angles: 60.27 60.17 60.15
Space group P-1 (No. 2)
Inequivalent atoms, fractional coordinates:
Sr 0.2491 0.2522 0.2503
Ni 0.5000 0.5000 0.5000
Os 0.0000 0.0000 0.0000
N 0.2443 0.7556 0.2564
N 0.2505 0.7384 0.7611
N 0.2575 0.2433 0.7466

The 10 most intense peaks (2θ = 10–90°), in order of rising 2θ:
2θ 19.7, rel. 299, hkl 1 0 0
2θ 22.8, rel. 166, hkl 1 1 0
2θ 32.4, rel. 670, hkl 1 0 -1
2θ 32.5, rel. 1000, hkl 1 2 1
2θ 32.6, rel. 331, hkl 2 1 1
2θ 38.2, rel. 142, hkl 0 2 1
2θ 46.6, rel. 566, hkl 2 2 0
2θ 57.8, rel. 328, hkl 1 3 0
2θ 58.1, rel. 323, hkl 3 3 2
2θ 77.4, rel. 169, hkl 3 4 1


Entry 6:
Starting from a DFT-relaxed cell (PBE, OQMD), the powder XRD pattern of LaNp was computed for CuKα.
Intensities are scaled so that the largest is 1000.

Crystal structure
abc: 3.3273 3.3273 5.9191
angles: 90.00 90.00 120.00
Space group P-6m2 (No. 187)
Inequivalent atoms, fractional coordinates:
La 0.0000 0.0000 0.0000
Np 0.6667 0.3333 0.5000

The 10 most intense peaks (2θ = 10–90°), in order of rising 2θ:
2θ 15.0, rel. 98, hkl 0 0 1
2θ 30.2, rel. 311, hkl 0 0 2
2θ 31.0, rel. 259, hkl 1 0 0
2θ 34.6, rel. 1000, hkl 1 0 1
2θ 43.9, rel. 206, hkl 1 0 2
2θ 55.2, rel. 175, hkl 1 1 0
2θ 56.5, rel. 251, hkl 1 0 3
2θ 64.2, rel. 223, hkl 1 1 2
2θ 66.8, rel. 152, hkl 2 0 1
2θ 88.4, rel. 98, hkl 1 1 4


Entry 7:
Starting from a DFT-relaxed cell (PBE, OQMD), the powder XRD pattern of DyYCo was computed for CuKα.
Intensities are scaled so that the largest is 1000.

Crystal structure
abc: 4.7680 4.7680 6.8209
angles: 90.00 90.00 90.00
Space group P4_2/mmc (No. 131)
Inequivalent atoms, fractional coordinates:
Dy 0.0000 0.0000 0.0000
Y 0.5000 0.5000 0.2500
Co 0.0000 0.5000 0.0000

The 10 most intense peaks (2θ = 10–90°), in order of rising 2θ:
2θ 18.6, rel. 138, hkl 1 0 0
2θ 22.8, rel. 155, hkl 1 0 1
2θ 26.4, rel. 472, hkl 1 1 0
2θ 32.3, rel. 1000, hkl 1 0 2
2θ 37.7, rel. 508, hkl 2 0 0
2θ 50.5, rel. 564, hkl 2 1 2
2θ 54.4, rel. 173, hkl 2 2 0
2θ 64.7, rel. 133, hkl 3 0 2
2θ 67.5, rel. 177, hkl 2 0 4
2θ 77.4, rel. 158, hkl 3 2 2


Entry 8:
Starting from a DFT-relaxed cell (PBE, OQMD), the powder XRD pattern of Zr3Cu4Sn4 was computed for CuKα.
Intensities are scaled so that the largest is 1000.

Crystal structure
abc: 6.1787 6.1787 12.3520
angles: 90.00 90.00 90.00
Space group I-42m (No. 121)
Inequivalent atoms, fractional coordinates:
Zr 0.0000 0.0000 0.0000
Zr 0.0000 0.5000 0.2500
Cu 0.2492 0.2492 0.6234
Sn 0.0000 0.0000 0.2563
Sn 0.0000 0.5000 0.0000

The 10 most intense peaks (2θ = 10–90°), in order of rising 2θ:
2θ 25.0, rel. 275, hkl 1 1 2
2θ 28.9, rel. 286, hkl 2 0 0
2θ 41.3, rel. 1000, hkl 2 2 0
2θ 48.9, rel. 136, hkl 3 1 2
2θ 51.2, rel. 81, hkl 2 2 4
2θ 59.9, rel. 164, hkl 4 0 0
2θ 65.9, rel. 55, hkl 3 3 2
2θ 67.8, rel. 110, hkl 4 2 0
2θ 75.4, rel. 332, hkl 4 2 4
2θ 89.8, rel. 110, hkl 4 4 0